1.
Structure and simulated X-ray powder pattern of SmTm2Te5 (a crystal structure in Alexandria, relaxed with GGA-PBE; a wavelength of 1.5418 Å).

```
SmTm2Te5
1.0
-4.0435 4.0435 7.1354
4.0435 -4.0435 7.1354
4.0435 4.0435 -7.1354
Sm Tm Te
2 4 10
Direct
0.2500 0.2500 0.0000
0.7500 0.7500 0.0000
0.1505 0.6505 0.8010
0.3495 0.1505 0.5000
0.6505 0.8495 0.5000
0.8495 0.3495 0.1990
0.0000 0.0000 0.0000
0.0121 0.1940 0.5000
0.1940 0.6940 0.1819
0.3060 0.4879 0.5000
0.4879 0.9879 0.1819
0.5000 0.5000 0.0000
0.5121 0.0121 0.8181
0.6940 0.5121 0.5000
0.8060 0.3060 0.8181
0.9879 0.8060 0.5000
```

Principal peaks in the range 5° ≤ 2θ ≤ 70°, in order of rising 2θ:
2θ (°)  Rel. int.
29.51  12
31.06  100
31.28  10
33.50  13
35.09  51
37.82  9
40.25  12
50.32  14
63.59  12
65.14  17


2.
Structure and simulated X-ray powder pattern of V2Tc3 (a crystal structure in Alexandria, relaxed with GGA-PBE; a wavelength of 1.5418 Å).

```
V2Tc3
1.0
-1.5166 1.5166 7.6299
1.5166 -1.5166 7.6299
1.5166 1.5166 -7.6299
V Tc
2 3
Direct
0.0984 0.0984 0.0000
0.9016 0.9016 0.0000
0.3043 0.3043 0.0000
0.5000 0.5000 0.0000
0.6957 0.6957 0.0000
```

Principal peaks in the range 5° ≤ 2θ ≤ 70°, in order of rising 2θ:
2θ (°)  Rel. int.
23.32  3
30.04  12
34.42  2
35.29  3
42.00  100
42.13  50
56.09  3
60.69  8
61.10  16
69.58  2